For Ba3In6Pd5, a structure optimized by DFT (GGA-PBE) gives the computed powder diffraction line list in this record (Cu Kα).
Peak positions follow from Bragg's law for the DFT cell and can differ from measured ones.

The 10 most intense peaks (2θ from 15° to 90°), by angle:
- 2θ 15.7, intensity 16, (0 0 2)
- 2θ 30.4, intensity 33, (0 3 3)
- 2θ 30.6, intensity 46, (1 0 3)
- 2θ 31.5, intensity 100, (1 3 2)
- 2θ 38.4, intensity 19, (1 5 1)
- 2θ 38.5, intensity 23, (0 6 0)
- 2θ 39.1, intensity 44, (2 0 0)
- 2θ 50.4, intensity 16, (2 3 3)
- 2θ 56.0, intensity 15, (2 6 0)
- 2θ 56.3, intensity 17, (1 3 6)

Crystal structure
Lattice parameters (Å, degrees): 4.606 14.029 11.317 90.00 90.00 90.00
Space group Pmmn (No. 59, origin choice 2)
One atom of each set of equivalent atoms:
Ba 0.250 0.092 0.247 (multiplicity 4)
Ba 0.250 0.750 0.268 (multiplicity 2)
In 0.250 0.054 0.590 (multiplicity 4)
In 0.250 0.250 0.482 (multiplicity 2)
In 0.250 0.250 0.978 (multiplicity 2)
In 0.250 0.579 0.010 (multiplicity 4)
Pd 0.250 0.077 0.847 (multiplicity 4)
Pd 0.250 0.641 0.528 (multiplicity 4)
Pd 0.250 0.750 0.889 (multiplicity 2)